(1)
This entry pairs a crystal structure of Rb3FeO3 with its calculated powder diffractogram. Radiation: Cu Kα (λ = 1.5418 Å). Structure: the GGA+U geometry in the Materials Project.

Atomic structure:
Unit cell a=5.0427 b=12.5011 c=11.5868 alpha=90.00 beta=102.97 gamma=90.00
Fractional coordinates of all 28 atoms:
1 Rb 0.0088 0.2345 0.0371
2 Rb 0.0088 0.2655 0.5371
3 Rb 0.2300 0.5105 0.8767
4 Rb 0.2300 0.9895 0.3767
5 Rb 0.3952 0.0849 0.8612
6 Rb 0.3952 0.4151 0.3612
7 Rb 0.6048 0.5849 0.6388
8 Rb 0.6048 0.9151 0.1388
9 Rb 0.7700 0.0105 0.6233
10 Rb 0.7700 0.4895 0.1233
11 Rb 0.9912 0.7345 0.4629
12 Rb 0.9912 0.7655 0.9629
13 Fe 0.3054 0.6824 0.2430
14 Fe 0.3054 0.8176 0.7430
15 Fe 0.6946 0.1824 0.2570
16 Fe 0.6946 0.3176 0.7570
17 O 0.1419 0.6850 0.7167
18 O 0.1419 0.8150 0.2167
19 O 0.2670 0.5886 0.1173
20 O 0.2670 0.9114 0.6173
21 O 0.4515 0.6367 0.3929
22 O 0.4515 0.8633 0.8929
23 O 0.5485 0.1367 0.1071
24 O 0.5485 0.3633 0.6071
25 O 0.7330 0.0886 0.3827
26 O 0.7330 0.4114 0.8827
27 O 0.8581 0.1850 0.7833
28 O 0.8581 0.3150 0.2833

Largest 10 diffraction maxima, sorted by position, 5° ≤ 2θ ≤ 70°:
2theta	d [Å]	I_rel
19.4	4.579	289
22.7	3.909	367
23.0	3.864	408
25.5	3.488	1000
26.6	3.353	875
27.5	3.238	339
30.3	2.952	395
34.9	2.573	647
36.4	2.472	429
39.4	2.285	381

(2)
This entry pairs a crystal structure of Li2Fe3WO8 with its calculated powder diffractogram. Radiation: Cu Kα (λ = 1.5418 Å). Structure: the GGA+U geometry in the Materials Project.

Atomic structure:
Unit cell a=6.0508 b=6.0508 c=9.7810 alpha=90.00 beta=90.00 gamma=120.05
Fractional coordinates of all 28 atoms:
1 Li 0.0026 0.9974 0.5000
2 Li 0.3318 0.6682 0.4221
3 Li 0.6682 0.3318 0.9221
4 Li 0.9974 0.0026 0.0000
5 Fe 0.1682 0.8318 0.7247
6 Fe 0.1729 0.3443 0.7285
7 Fe 0.3443 0.1729 0.2285
8 Fe 0.6557 0.8271 0.7285
9 Fe 0.8271 0.6557 0.2285
10 Fe 0.8318 0.1682 0.2247
11 W 0.3348 0.6652 0.0001
12 W 0.6652 0.3348 0.5001
13 O 0.0047 0.9953 0.3112
14 O 0.0440 0.5053 0.8692
15 O 0.1759 0.8241 0.1023
16 O 0.1915 0.3458 0.0994
17 O 0.3363 0.6637 0.6234
18 O 0.3458 0.1915 0.5994
19 O 0.4818 0.5182 0.8579
20 O 0.4947 0.9560 0.8692
21 O 0.5053 0.0440 0.3692
22 O 0.5182 0.4818 0.3579
23 O 0.6542 0.8085 0.0994
24 O 0.6637 0.3363 0.1234
25 O 0.8085 0.6542 0.5994
26 O 0.8241 0.1759 0.6023
27 O 0.9560 0.4947 0.3692
28 O 0.9953 0.0047 0.8112

Largest 10 diffraction maxima, sorted by position, 5° ≤ 2θ ≤ 70°:
2theta	d [Å]	I_rel
19.2	4.618	1000
24.9	3.575	284
32.3	2.768	348
34.9	2.572	444
35.5	2.530	247
44.4	2.042	193
49.7	1.835	151
54.2	1.692	186
58.9	1.567	190
61.3	1.512	166

(3)
This entry pairs a crystal structure of Mn2PClO4 with its calculated powder diffractogram. Radiation: Cu Kα (λ = 1.5418 Å). Structure: the GGA+U geometry in the Materials Project.

Atomic structure:
Unit cell a=11.5350 b=8.1794 c=4.9844 alpha=90.00 beta=90.00 gamma=90.00
Fractional coordinates of all 32 atoms:
1 Mn 0.1203 0.1041 0.0000
2 Mn 0.1243 0.6545 0.9968
3 Mn 0.3757 0.1545 0.4968
4 Mn 0.3797 0.6041 0.5000
5 Mn 0.6203 0.3959 0.0000
6 Mn 0.6243 0.8455 0.9968
7 Mn 0.8757 0.3455 0.4968
8 Mn 0.8797 0.8959 0.5000
9 P 0.1638 0.8782 0.5471
10 P 0.3362 0.3782 0.0471
11 P 0.6638 0.6218 0.5471
12 P 0.8362 0.1218 0.0471
13 Cl 0.0645 0.3796 0.7403
14 Cl 0.4355 0.8796 0.2403
15 Cl 0.5645 0.1204 0.7403
16 Cl 0.9355 0.6204 0.2403
17 O 0.0445 0.8752 0.6996
18 O 0.1495 0.8786 0.2384
19 O 0.2254 0.0361 0.6463
20 O 0.2290 0.7233 0.6470
21 O 0.2710 0.2233 0.1470
22 O 0.2746 0.5361 0.1463
23 O 0.3505 0.3786 0.7384
24 O 0.4555 0.3752 0.1996
25 O 0.5445 0.6248 0.6996
26 O 0.6495 0.6214 0.2384
27 O 0.7254 0.4639 0.6463
28 O 0.7290 0.7767 0.6470
29 O 0.7710 0.2767 0.1470
30 O 0.7746 0.9639 0.1463
31 O 0.8505 0.1214 0.7384
32 O 0.9555 0.1248 0.1996

Largest 10 diffraction maxima, sorted by position, 5° ≤ 2θ ≤ 70°:
2theta	d [Å]	I_rel
18.8	4.714	171
23.6	3.771	558
29.3	3.049	1000
31.0	2.884	227
36.0	2.494	168
36.8	2.442	454
43.2	2.093	185
44.3	2.045	181
48.9	1.862	324
50.9	1.794	175

(4)
This entry pairs a crystal structure of RbBiMo2O8 with its calculated powder diffractogram. Radiation: Cu Kα (λ = 1.5418 Å). Structure: the GGA+U geometry in the Materials Project.

Atomic structure:
Unit cell a=11.8186 b=12.3127 c=5.3783 alpha=90.00 beta=92.21 gamma=90.00
Fractional coordinates of all 48 atoms:
1 Rb 0.1216 0.1245 0.4833
2 Rb 0.1216 0.3755 0.9833
3 Rb 0.8784 0.6245 0.0167
4 Rb 0.8784 0.8755 0.5167
5 Bi 0.3793 0.6243 0.9910
6 Bi 0.3793 0.8757 0.4910
7 Bi 0.6207 0.1243 0.5090
8 Bi 0.6207 0.3757 0.0090
9 Mo 0.1581 0.6458 0.4958
10 Mo 0.1581 0.8542 0.9958
11 Mo 0.3874 0.1131 0.9766
12 Mo 0.3874 0.3869 0.4766
13 Mo 0.6126 0.6131 0.5234
14 Mo 0.6126 0.8869 0.0234
15 Mo 0.8419 0.1458 0.0042
16 Mo 0.8419 0.3542 0.5042
17 O 0.0603 0.7264 0.6576
18 O 0.0603 0.7736 0.1576
19 O 0.0814 0.5515 0.3155
20 O 0.0814 0.9485 0.8155
21 O 0.2305 0.5644 0.7423
22 O 0.2305 0.9356 0.2423
23 O 0.2780 0.1957 0.0776
24 O 0.2780 0.3043 0.5776
25 O 0.2778 0.7099 0.3157
26 O 0.2778 0.7901 0.8157
27 O 0.3238 0.0249 0.7410
28 O 0.3238 0.4751 0.2410
29 O 0.4492 0.0403 0.2484
30 O 0.4492 0.4597 0.7484
31 O 0.4989 0.1960 0.8446
32 O 0.4989 0.3040 0.3446
33 O 0.5011 0.6960 0.6554
34 O 0.5011 0.8040 0.1554
35 O 0.5508 0.5403 0.2516
36 O 0.5508 0.9597 0.7516
37 O 0.6762 0.5249 0.7590
38 O 0.6762 0.9751 0.2590
39 O 0.7222 0.2099 0.1843
40 O 0.7222 0.2901 0.6843
41 O 0.7220 0.6957 0.4224
42 O 0.7220 0.8043 0.9224
43 O 0.7695 0.0644 0.7577
44 O 0.7695 0.4356 0.2577
45 O 0.9186 0.0515 0.1845
46 O 0.9186 0.4485 0.6845
47 O 0.9397 0.2264 0.8424
48 O 0.9397 0.2736 0.3424

Largest 10 diffraction maxima, sorted by position, 5° ≤ 2θ ≤ 70°:
2theta	d [Å]	I_rel
7.5	11.810	504
10.4	8.523	305
26.3	3.385	1000
27.1	3.295	936
29.0	3.078	289
30.3	2.952	240
33.3	2.687	192
42.4	2.131	241
44.8	2.025	354
49.8	1.831	139

(5)
This entry pairs a crystal structure of MnP4H16N2O16 with its calculated powder diffractogram. Radiation: Cu Kα (λ = 1.5418 Å). Structure: the GGA+U geometry in the Materials Project.

Atomic structure:
Unit cell a=7.1158 b=7.5106 c=7.9069 alpha=80.50 beta=71.67 gamma=88.29
Fractional coordinates of all 39 atoms:
1 Mn 0.0000 0.0000 0.0000
2 P 0.1666 0.2474 0.2555
3 P 0.2480 0.7051 0.7436
4 P 0.7520 0.2949 0.2564
5 P 0.8334 0.7526 0.7445
6 H 0.1192 0.2051 0.6417
7 H 0.1188 0.3343 0.7835
8 H 0.2422 0.4736 0.0228
9 H 0.3267 0.8960 0.1790
10 H 0.3498 0.6694 0.1899
11 H 0.4242 0.7747 0.3319
12 H 0.4359 0.2343 0.4199
13 H 0.4470 0.1928 0.8929
14 H 0.5530 0.8072 0.1071
15 H 0.5641 0.7657 0.5801
16 H 0.5758 0.2253 0.6681
17 H 0.6502 0.3306 0.8101
18 H 0.6733 0.1040 0.8210
19 H 0.7578 0.5264 0.9772
20 H 0.8812 0.6657 0.2165
21 H 0.8808 0.7949 0.3583
22 N 0.4138 0.7868 0.2020
23 N 0.5862 0.2132 0.7980
24 O 0.0590 0.2222 0.7692
25 O 0.0700 0.7338 0.6543
26 O 0.2049 0.1181 0.1187
27 O 0.2339 0.5098 0.8395
28 O 0.2409 0.1911 0.4153
29 O 0.2445 0.8464 0.8596
30 O 0.2522 0.4412 0.1552
31 O 0.4285 0.7343 0.5635
32 O 0.5715 0.2657 0.4365
33 O 0.7478 0.5588 0.8448
34 O 0.7555 0.1536 0.1404
35 O 0.7591 0.8089 0.5847
36 O 0.7661 0.4902 0.1605
37 O 0.7951 0.8819 0.8813
38 O 0.9300 0.2662 0.3457
39 O 0.9410 0.7778 0.2308

Largest 10 diffraction maxima, sorted by position, 5° ≤ 2θ ≤ 70°:
2theta	d [Å]	I_rel
12.0	7.404	403
13.1	6.753	556
14.7	6.018	241
15.5	5.727	483
18.3	4.853	1000
24.0	3.702	606
25.1	3.553	612
27.5	3.245	483
28.8	3.100	349
33.7	2.659	316

(6)
This entry pairs a crystal structure of Li9Mn2Co5O16 with its calculated powder diffractogram. Radiation: Cu Kα (λ = 1.5418 Å). Structure: the GGA+U geometry in the Materials Project.

Atomic structure:
Unit cell a=3.0260 b=5.0690 c=19.1427 alpha=92.07 beta=92.06 gamma=91.07
Fractional coordinates of all 32 atoms:
1 Li 0.0000 0.0000 0.0000
2 Li 0.0001 0.1257 0.3749
3 Li 0.0066 0.3711 0.1250
4 Li 0.4959 0.7519 0.7509
5 Li 0.4992 0.9999 0.5003
6 Li 0.4998 0.5006 0.0001
7 Li 0.5039 0.2482 0.2498
8 Li 0.9922 0.6290 0.8752
9 Li 0.9994 0.8755 0.6258
10 Mn 0.5005 0.3752 0.6263
11 Mn 0.9954 0.7535 0.2487
12 Co 0.0032 0.5024 0.4996
13 Co 0.4941 0.6241 0.3750
14 Co 0.4987 0.1256 0.8812
15 Co 0.5113 0.8769 0.1189
16 Co 0.9955 0.2435 0.7529
17 O 0.0053 0.7914 0.4376
18 O 0.0359 0.6987 0.0673
19 O 0.0364 0.9585 0.8137
20 O 0.0397 0.2069 0.5615
21 O 0.4621 0.9208 0.3137
22 O 0.4862 0.0808 0.6892
23 O 0.4917 0.3353 0.4370
24 O 0.5001 0.1572 0.0698
25 O 0.5005 0.8443 0.9303
26 O 0.5088 0.4037 0.8149
27 O 0.5180 0.6668 0.5620
28 O 0.5266 0.5945 0.1848
29 O 0.9614 0.5427 0.6911
30 O 0.9719 0.3024 0.9332
31 O 0.9765 0.0439 0.1865
32 O 0.9809 0.4597 0.3120

Largest 10 diffraction maxima, sorted by position, 5° ≤ 2θ ≤ 70°:
2theta	d [Å]	I_rel
18.3	4.852	1000
34.5	2.598	191
35.7	2.514	138
36.8	2.442	104
41.5	2.174	329
43.4	2.087	285
44.9	2.019	245
61.3	1.512	86
61.9	1.499	83
62.6	1.484	81

(7)
This entry pairs a crystal structure of Sr2FeAs2F with its calculated powder diffractogram. Radiation: Cu Kα (λ = 1.5418 Å). Structure: the GGA+U geometry in the Materials Project.

Atomic structure:
Unit cell a=3.4305 b=3.4305 c=15.5930 alpha=90.00 beta=90.00 gamma=90.00
Fractional coordinates of all 6 atoms:
1 Sr 0.0000 0.0000 0.1463
2 Sr 0.0000 0.0000 0.8537
3 Fe 0.0000 0.0000 0.5000
4 As 0.0000 0.0000 0.3420
5 As 0.0000 0.0000 0.6580
6 F 0.0000 0.0000 0.0000

Largest 10 diffraction maxima, sorted by position, 5° ≤ 2θ ≤ 70°:
2theta	d [Å]	I_rel
22.8	3.898	125
26.0	3.430	1000
34.5	2.599	174
34.8	2.575	171
37.1	2.426	386
43.7	2.072	352
51.5	1.773	213
53.4	1.715	129
60.3	1.534	177
65.2	1.432	102

What did the fifth record say?
This entry pairs a crystal structure of MnP4H16N2O16 with its calculated powder diffractogram. Radiation: Cu Kα (λ = 1.5418 Å). Structure: the GGA+U geometry in the Materials Project.

Atomic structure:
Unit cell a=7.1158 b=7.5106 c=7.9069 alpha=80.50 beta=71.67 gamma=88.29
Fractional coordinates of all 39 atoms:
1 Mn 0.0000 0.0000 0.0000
2 P 0.1666 0.2474 0.2555
3 P 0.2480 0.7051 0.7436
4 P 0.7520 0.2949 0.2564
5 P 0.8334 0.7526 0.7445
6 H 0.1192 0.2051 0.6417
7 H 0.1188 0.3343 0.7835
8 H 0.2422 0.4736 0.0228
9 H 0.3267 0.8960 0.1790
10 H 0.3498 0.6694 0.1899
11 H 0.4242 0.7747 0.3319
12 H 0.4359 0.2343 0.4199
13 H 0.4470 0.1928 0.8929
14 H 0.5530 0.8072 0.1071
15 H 0.5641 0.7657 0.5801
16 H 0.5758 0.2253 0.6681
17 H 0.6502 0.3306 0.8101
18 H 0.6733 0.1040 0.8210
19 H 0.7578 0.5264 0.9772
20 H 0.8812 0.6657 0.2165
21 H 0.8808 0.7949 0.3583
22 N 0.4138 0.7868 0.2020
23 N 0.5862 0.2132 0.7980
24 O 0.0590 0.2222 0.7692
25 O 0.0700 0.7338 0.6543
26 O 0.2049 0.1181 0.1187
27 O 0.2339 0.5098 0.8395
28 O 0.2409 0.1911 0.4153
29 O 0.2445 0.8464 0.8596
30 O 0.2522 0.4412 0.1552
31 O 0.4285 0.7343 0.5635
32 O 0.5715 0.2657 0.4365
33 O 0.7478 0.5588 0.8448
34 O 0.7555 0.1536 0.1404
35 O 0.7591 0.8089 0.5847
36 O 0.7661 0.4902 0.1605
37 O 0.7951 0.8819 0.8813
38 O 0.9300 0.2662 0.3457
39 O 0.9410 0.7778 0.2308

Largest 10 diffraction maxima, sorted by position, 5° ≤ 2θ ≤ 70°:
2theta	d [Å]	I_rel
12.0	7.404	403
13.1	6.753	556
14.7	6.018	241
15.5	5.727	483
18.3	4.853	1000
24.0	3.702	606
25.1	3.553	612
27.5	3.245	483
28.8	3.100	349
33.7	2.659	316